Diffraction record for BaPa4Rh3O12. The X-ray diffraction stick pattern is theoretical, not measured: it uses a DFT-relaxed cell (GGA-PBE, Alexandria) and Cu Kα, 1.54184 Å.
No peak broadening, texture or thermal motion is included.

Cell and atoms:
```
data_BaPa4Rh3O12
_space_group_name_H-M_alt 'I m -3'
_space_group_IT_number 204
_space_group_name_Hall '-I 2 2 3'
_cell_length_a 8.3032
_cell_length_b 8.3032
_cell_length_c 8.3032
_cell_angle_alpha 90.00
_cell_angle_beta 90.00
_cell_angle_gamma 90.00
loop_
_atom_site_label
_atom_site_type_symbol
_atom_site_fract_x
_atom_site_fract_y
_atom_site_fract_z
Ba1 Ba 0.0000 0.0000 0.0000
Pa1 Pa 0.2500 0.2500 0.2500
Rh1 Rh 0.0000 0.0000 0.5000
O1 O 0.0000 0.2987 0.1636
```

The 10 most intense peaks (2θ from 10° to 80°), sorted by position:
h k l  2θ/deg  I/Imax
2 0 0  21.40  15
2 2 0  30.45  100
2 2 2  37.52  3
4 0 0  43.60  22
4 2 0  49.07  8
4 2 2  54.11  47
4 4 0  63.37  13
4 4 2  67.71  3
6 2 0  71.92  19
6 2 2  76.03  2